This entry pairs a crystal structure of Ce3NpN6 with its theoretical PXRD pattern. Radiation: Cu Kα, 1.54184 Å. Structure: a crystal structure in Alexandria, relaxed with GGA-PBE.

Cell and atoms:
Unit cell a=9.8207 b=9.8207 c=11.5430 alpha=90.00 beta=90.00 gamma=120.00
Space group R-3 (No. 148, hexagonal axes)
Symmetry-distinct sites (fractional):
Ce 0.0365 0.7705 0.2122 [18 per cell]
Np 0.0000 0.0000 0.0000 [3 per cell]
Np 0.0000 0.0000 0.5000 [3 per cell]
N 0.0266 0.8464 0.8796 [18 per cell]
N 0.0370 0.8274 0.4095 [18 per cell]

Most intense lines, 2θ = 5–70°, in order of rising 2θ:
2θ/deg	intensity
26.0	60.9
28.8	71.7
29.5	38.0
31.6	33.1
31.9	100.0
32.8	29.4
42.1	32.4
49.1	37.8
49.9	25.6
51.0	26.3